# 1
Theoretical powder X-ray diffraction pattern of BaY2Si3O10 for copper Kα, from a GGA-PBE-relaxed structure.

Most intense lines, 10° ≤ 2θ ≤ 90°, by intensity:
27.52 deg, intensity 100; 28.35 deg, intensity 55; 25.43 deg, intensity 42; 30.51 deg, intensity 38; 40.71 deg, intensity 26; 32.95 deg, intensity 20; 19.63 deg, intensity 19; 55.05 deg, intensity 18; 39.81 deg, intensity 15; 28.46 deg, intensity 15

Structural model:
```
BaY2Si3O10
1.0
5.4740 0.0000 0.0000
0.0000 12.3580 0.0000
-1.9535 0.0000 6.6547
Ba Y Si O
2 4 6 20
Cartesian
0.3514 3.0895 3.2265
3.1691 9.2685 3.4282
0.5089 7.3981 1.2283
0.5089 11.1388 1.2283
3.0117 1.2191 5.4264
3.0117 4.9598 5.4264
0.2708 6.9417 4.7528
0.2708 11.5952 4.7528
2.2687 3.0895 0.0783
1.2519 9.2685 6.5764
3.2497 0.7627 1.9019
3.2497 5.4163 1.9019
-1.1025 6.8000 5.6679
-1.1025 11.7369 5.6679
-1.0097 3.0895 5.7701
-0.0860 7.6918 3.3505
-0.0860 10.8451 3.3505
1.8144 9.2685 0.7755
1.0285 0.6630 4.6047
1.0285 5.5160 4.6047
2.1700 1.7721 1.0746
2.1700 4.4069 1.0746
1.3505 7.9511 5.5801
1.3505 10.5858 5.5801
2.4920 6.8420 2.0500
2.4920 11.6949 2.0500
1.7061 3.0895 5.8792
3.6065 1.5129 3.3042
3.6065 4.6661 3.3042
4.5303 9.2685 0.8846
4.6230 0.6211 0.9868
4.6230 5.5579 0.9868
```



# 2
Theoretical powder X-ray diffraction pattern of RbMg7 for copper Kα, from a GGA-PBE-relaxed structure.

Most intense lines, 10° ≤ 2θ ≤ 90°, by intensity:
34.19 deg, intensity 100; 29.79 deg, intensity 28; 22.13 deg, intensity 27; 33.13 deg, intensity 24; 14.77 deg, intensity 20; 63.84 deg, intensity 19; 59.86 deg, intensity 19; 52.88 deg, intensity 17; 45.15 deg, intensity 17; 64.49 deg, intensity 14

Structural model:
```
RbMg7
1.0
6.9252 0.0000 0.0000
-3.4626 5.9974 0.0000
0.0000 0.0000 5.4086
Rb Mg
1 7
Cartesian
0.0000 0.0000 0.0000
-1.6921 3.0214 0.0000
0.0000 2.1728 2.7043
-1.5809 4.9110 2.7043
1.6921 3.0214 0.0000
0.0000 5.9521 0.0000
1.5809 4.9110 2.7043
3.4626 1.9991 2.7043
```



# 3
Theoretical powder X-ray diffraction pattern of Pr2Re3Si5 for copper Kα, from a GGA-PBE-relaxed structure.

Most intense lines, 10° ≤ 2θ ≤ 90°, by intensity:
25.46 deg, intensity 100; 36.91 deg, intensity 81; 29.82 deg, intensity 73; 38.64 deg, intensity 54; 36.32 deg, intensity 51; 46.86 deg, intensity 49; 32.93 deg, intensity 47; 28.69 deg, intensity 36; 43.79 deg, intensity 34; 45.30 deg, intensity 34

Structural model:
```
Pr2Re3Si5
1.0
11.0612 0.0000 0.0000
0.0000 11.0612 0.0000
0.0000 0.0000 5.8030
Pr Re Si
8 12 20
Cartesian
0.8356 2.6273 0.0000
2.6273 10.2256 0.0000
2.9032 4.6950 2.9015
4.6950 8.1579 2.9015
6.3662 2.9032 2.9015
8.1579 6.3662 2.9015
8.4338 0.8356 0.0000
10.2256 8.4338 0.0000
0.0000 5.5306 1.4507
0.0000 5.5306 4.3522
1.3953 9.4289 2.9015
1.6323 1.3953 2.9015
3.8983 6.9259 0.0000
4.1353 3.8983 0.0000
5.5306 0.0000 1.4507
5.5306 0.0000 4.3522
6.9259 7.1629 0.0000
7.1629 4.1353 0.0000
9.4289 9.6659 2.9015
9.6659 1.6323 2.9015
0.0000 0.0000 1.5485
0.0000 0.0000 4.2545
0.2358 3.5129 2.9015
1.9135 7.4441 1.4507
1.9135 7.4441 4.3522
2.0177 5.2948 0.0000
3.5129 10.8254 2.9015
3.6171 1.9135 1.4507
3.6171 1.9135 4.3522
5.2948 9.0435 0.0000
5.5306 5.5306 1.3530
5.5306 5.5306 4.4500
5.7664 2.0177 0.0000
7.4441 9.1477 1.4507
7.4441 9.1477 4.3522
7.5483 0.2358 2.9015
9.0435 5.7664 0.0000
9.1477 3.6171 1.4507
9.1477 3.6171 4.3522
10.8254 7.5483 2.9015
```



# 4
Theoretical powder X-ray diffraction pattern of CeMg3 for copper Kα, from a GGA-PBE-relaxed structure.

Most intense lines, 10° ≤ 2θ ≤ 90°, by intensity:
16.67 deg, intensity 100; 35.56 deg, intensity 96; 15.43 deg, intensity 61; 33.71 deg, intensity 54; 31.15 deg, intensity 41; 31.84 deg, intensity 35; 58.32 deg, intensity 34; 27.64 deg, intensity 32; 42.14 deg, intensity 29; 29.13 deg, intensity 28

Structural model:
```
CeMg3
1.0
-1.5905 5.7428 3.0001
1.5905 -5.7428 3.0001
1.5905 5.7428 -3.0001
Ce Mg
1 3
Cartesian
0.0000 0.0000 0.0000
1.5905 2.9380 -0.9698
0.0000 5.7428 0.0223
0.0000 2.8048 2.0303
```